For Zn2TeMoO7, a crystal structure in the Materials Project, relaxed with PBE+U gives the theoretical powder X-ray diffraction pattern in this record (Cu Ka).
Peak positions follow from Bragg's law for the DFT cell and can differ from measured ones.

The 10 most intense peaks (2θ = 10–90°), in order of falling intensity:
Position (°2θ)  I/Imax
27.0  100
27.6  36
25.0  30
32.3  30
34.7  18
26.7  16
24.1  15
44.8  14
50.7  14
29.5  12

Atomic structure:
```
Zn2TeMoO7
1.0
5.248 0.000 0.000
0.000 8.576 0.000
-1.218 0.000 7.256
Zn Te Mo O
4 2 2 14
Direct
0.023 0.000 0.261
0.447 0.822 0.988
0.553 0.322 0.012
0.977 0.500 0.739
0.015 0.111 0.855
0.985 0.611 0.145
0.422 0.329 0.484
0.578 0.829 0.516
0.188 0.652 0.956
0.206 0.302 0.867
0.221 0.481 0.551
0.242 0.152 0.448
0.252 0.011 0.046
0.289 0.805 0.342
0.494 0.887 0.734
0.506 0.387 0.266
0.711 0.305 0.658
0.748 0.511 0.954
0.758 0.652 0.552
0.779 0.981 0.449
0.794 0.802 0.133
0.812 0.152 0.044
```